For Pm4Ho3Se8, DFT lattice parameters and positions (PBE) gives the calculated PXRD pattern in this record (λ = 1.5418 Å (Cu Kα)).

Crystal structure
Lattice parameters (Å, degrees): 11.642 11.650 8.230 90.00 134.91 90.00
Space group C2/m (No. 12)
Asymmetric unit:
Pm 0.000 0.000 0.000 (multiplicity 2)
Pm 0.000 0.500 0.500 (multiplicity 2)
Pm 0.250 0.250 0.000 (multiplicity 4)
Ho 0.000 0.500 0.000 (multiplicity 2)
Ho 0.250 0.250 0.500 (multiplicity 4)
Se 0.000 0.244 0.500 (multiplicity 4)
Se 0.000 0.254 0.000 (multiplicity 4)
Se 0.248 0.000 0.508 (multiplicity 4)
Se 0.248 0.000 0.988 (multiplicity 4)

Peak list (10 most intense, 2θ = 10–90°, sorted by position)
index	2theta	I (rel.)
1 1 0	13.2	6
2 2 -2	26.5	12
0 4 0	30.7	100
4 0 0	44.0	74
4 4 0	54.6	26
0 8 0	63.9	12
4 0 2	72.6	22
8 4 -4	72.6	11
4 4 2	80.8	13
4 8 -4	80.9	12

***

For Na4Tl2Cd2Au, DFT lattice parameters and positions (PBE) gives the calculated PXRD pattern in this record (λ = 1.5418 Å (Cu Kα)).

Crystal structure
Lattice parameters (Å, degrees): 6.080 6.153 7.525 100.26 110.92 103.44
Space group P-1 (No. 2)
Asymmetric unit:
Na 0.161 0.204 0.240 (multiplicity 2)
Na 0.274 0.440 0.768 (multiplicity 2)
Tl 0.259 0.889 0.571 (multiplicity 2)
Cd 0.226 0.696 0.151 (multiplicity 2)
Au 0.500 0.000 0.000 (multiplicity 1)

Peak list (10 most intense, 2θ = 10–90°, sorted by position)
index	2theta	I (rel.)
0 1 0	15.5	59
1 -1 0	18.6	100
1 1 -1	23.6	28
2 0 -1	30.2	57
1 -2 1	32.3	16
0 1 2	34.6	58
1 2 -1	36.8	36
1 0 2	36.9	27
1 1 -3	37.2	34
2 1 -1	37.3	18

***

For Ca2TaReN5, DFT lattice parameters and positions (PBE) gives the calculated PXRD pattern in this record (λ = 1.5418 Å (Cu Kα)).

Crystal structure
Lattice parameters (Å, degrees): 3.272 13.190 10.931 90.00 90.00 90.00
Space group Cmc2_1 (No. 36)
Asymmetric unit:
Ca 0.000 0.099 0.000 (multiplicity 4)
Ca 0.000 0.156 0.630 (multiplicity 4)
Ta 0.000 0.225 0.353 (multiplicity 4)
Re 0.000 0.471 0.768 (multiplicity 4)
N 0.000 0.047 0.357 (multiplicity 4)
N 0.000 0.278 0.975 (multiplicity 4)
N 0.000 0.320 0.728 (multiplicity 4)
N 0.000 0.370 0.323 (multiplicity 4)
N 0.000 0.490 0.110 (multiplicity 4)

Peak list (10 most intense, 2θ = 10–90°, sorted by position)
index	2theta	I (rel.)
0 2 1	15.7	23
0 0 2	16.2	100
0 2 2	21.1	39
0 4 2	31.7	38
1 1 2	32.6	45
1 3 0	34.2	33
1 3 1	35.2	49
0 2 4	35.6	35
1 1 3	37.6	43
0 6 1	41.9	31